Diffraction record for Er4MgTe2. The powder diffraction line list is calculated, not measured: it uses a cell relaxed with PBE and Cu Kα.

Most intense lines, 2θ = 5–70°, by angle:
24.60 deg, I = 49
28.23 deg, I = 85
29.72 deg, I = 36
30.21 deg, I = 100
33.16 deg, I = 52
36.44 deg, I = 51
37.78 deg, I = 35
38.95 deg, I = 31
46.70 deg, I = 29
48.59 deg, I = 37

Crystal structure
```
Er4MgTe2
1.0
0.0000 6.3228 7.2389
4.6686 0.0000 7.2389
4.6686 6.3228 0.0000
Er Mg Te
8 2 4
Direct
0.1222 0.2908 0.3447
0.2577 0.6553 0.7092
0.2908 0.1222 0.7423
0.3447 0.7423 0.1222
0.6553 0.2577 0.8778
0.7092 0.8778 0.2577
0.7423 0.3447 0.2908
0.8778 0.7092 0.6553
0.3750 0.3750 0.3750
0.6250 0.6250 0.6250
0.0000 0.0000 0.0000
0.0000 0.0000 0.5000
0.0000 0.5000 0.0000
0.5000 0.0000 0.0000
```


Diffraction record for Ca2TiBrF. The powder diffraction line list is calculated, not measured: it uses a cell relaxed with PBE and Cu Kα.

Most intense lines, 2θ = 5–70°, by angle:
14.80 deg, I = 100
27.86 deg, I = 70
29.85 deg, I = 82
33.47 deg, I = 26
36.71 deg, I = 23
39.78 deg, I = 16
42.71 deg, I = 33
48.01 deg, I = 43
51.77 deg, I = 22
57.57 deg, I = 22

Crystal structure
```
Ca2TiBrF
1.0
5.9867 0.0000 0.0000
0.0000 5.9867 0.0000
0.0000 0.0000 4.8961
Ca Ti Br F
2 1 1 1
Direct
0.0000 0.5000 0.0000
0.5000 0.0000 0.0000
0.0000 0.0000 0.0000
0.0000 0.0000 0.5000
0.5000 0.5000 0.5000
```


Diffraction record for Pu2ZrAs3. The powder diffraction line list is calculated, not measured: it uses a cell relaxed with PBE and Cu Kα.

Most intense lines, 2θ = 5–70°, by angle:
10.37 deg, I = 15
22.53 deg, I = 13
27.00 deg, I = 48
31.18 deg, I = 100
31.46 deg, I = 49
44.68 deg, I = 37
44.88 deg, I = 73
52.98 deg, I = 16
55.66 deg, I = 39
65.04 deg, I = 12

Crystal structure
```
Pu2ZrAs3
1.0
4.0562 0.0000 0.0000
0.0000 4.0562 0.0000
0.0000 0.0000 17.0644
Pu Zr As
4 2 6
Direct
0.0000 0.0000 0.1660
0.0000 0.0000 0.8340
0.5000 0.5000 0.3340
0.5000 0.5000 0.6660
0.0000 0.0000 0.5000
0.5000 0.5000 0.0000
0.0000 0.0000 0.0000
0.0000 0.0000 0.3381
0.0000 0.0000 0.6619
0.5000 0.5000 0.1619
0.5000 0.5000 0.5000
0.5000 0.5000 0.8381
```


Diffraction record for Tb2Pm2HoSc. The powder diffraction line list is calculated, not measured: it uses a cell relaxed with PBE and Cu Kα.

Most intense lines, 2θ = 5–70°, by angle:
18.32 deg, I = 7
25.90 deg, I = 15
31.94 deg, I = 100
32.02 deg, I = 58
41.63 deg, I = 24
45.83 deg, I = 25
53.27 deg, I = 7
57.02 deg, I = 42
63.51 deg, I = 25
66.93 deg, I = 10

Crystal structure
```
Tb2Pm2HoSc
1.0
6.8788 0.0000 0.0000
0.0000 5.5930 0.0000
0.0000 0.0000 9.6832
Tb Pm Ho Sc
4 4 2 2
Direct
0.2500 0.0000 0.1632
0.2500 0.5000 0.6684
0.7500 0.0000 0.8368
0.7500 0.5000 0.3316
0.0000 0.5000 0.0000
0.2500 0.0000 0.8139
0.5000 0.5000 0.0000
0.7500 0.0000 0.1861
0.2500 0.5000 0.3472
0.7500 0.5000 0.6528
0.0000 0.0000 0.5000
0.5000 0.0000 0.5000
```


Diffraction record for Dy8Cd2Fe. The powder diffraction line list is calculated, not measured: it uses a cell relaxed with PBE and Cu Kα.

Most intense lines, 2θ = 5–70°, by angle:
28.38 deg, I = 24
32.58 deg, I = 100
35.23 deg, I = 92
43.76 deg, I = 15
53.34 deg, I = 17
53.51 deg, I = 10
58.14 deg, I = 14
59.89 deg, I = 20
63.93 deg, I = 20
64.06 deg, I = 28

Crystal structure
```
Dy8Cd2Fe
1.0
-3.4252 7.9411 2.7463
3.4252 -7.9411 2.7463
3.4252 7.9411 -2.7463
Dy Cd Fe
8 2 1
Direct
0.9999 0.2404 0.2405
0.9999 0.7594 0.7595
0.1949 0.0000 0.1949
0.3794 0.2416 0.6210
0.3794 0.7584 0.1378
0.6206 0.2416 0.8622
0.6206 0.7584 0.3790
0.8050 0.0000 0.8051
0.1846 0.5000 0.6846
0.8153 0.5000 0.3154
0.5010 0.5010 0.0000
```


Diffraction record for Ac3BI3. The powder diffraction line list is calculated, not measured: it uses a cell relaxed with PBE and Cu Kα.

Most intense lines, 2θ = 5–70°, by angle:
9.72 deg, I = 18
25.91 deg, I = 59
27.73 deg, I = 100
32.64 deg, I = 35
39.62 deg, I = 67
49.04 deg, I = 21
52.24 deg, I = 31
56.29 deg, I = 24
64.80 deg, I = 20
67.50 deg, I = 11

Crystal structure
```
Ac3BI3
1.0
-6.4344 6.4344 6.4344
6.4344 -6.4344 6.4344
6.4344 6.4344 -6.4344
Ac B I
12 4 12
Direct
0.0217 0.0434 0.2717
0.0217 0.4783 0.7500
0.0434 0.2717 0.0217
0.2283 0.2717 0.7500
0.2283 0.4566 0.4783
0.2717 0.0217 0.0434
0.2717 0.7500 0.2283
0.4566 0.4783 0.2283
0.4783 0.2283 0.4566
0.4783 0.7500 0.0217
0.7500 0.0217 0.4783
0.7500 0.2283 0.2717
0.0000 0.2500 0.5000
0.2500 0.2500 0.2500
0.2500 0.5000 0.0000
0.5000 0.0000 0.2500
0.2500 0.7616 0.7384
0.2500 0.9884 0.5116
0.5116 0.2500 0.9884
0.5116 0.7616 0.5231
0.5231 0.5116 0.7616
0.7384 0.2500 0.7616
0.7384 0.9884 0.9769
0.7616 0.5231 0.5116
0.7616 0.7384 0.2500
0.9769 0.7384 0.9884
0.9884 0.5116 0.2500
0.9884 0.9769 0.7384
```